# 1
For Li8Nb4O11, DFT lattice parameters and positions (PBE) gives the calculated powder diffraction line list in this record (copper Kα).
Kinematic intensities with the Lorentz-polarization factor, no thermal factor.

Top 10 peaks for 2θ from 10° to 80°, by intensity:
2theta	I_rel	index
18.0	100	0 1 0
20.5	49	1 0 1
35.3	33	2 0 0
23.4	31	1 1 1
42.5	26	1 1 -3
42.9	25	1 2 3
42.6	25	2 -1 0
30.9	19	1 -1 1
61.8	14	0 1 6
35.0	14	1 1 3

```
data_Li8Nb4O11
_chemical_formula_sum 'Li8 Nb4 O11'
_space_group_name_H-M_alt 'P 1'
_space_group_IT_number 1
_cell_length_a 5.142
_cell_length_b 5.187
_cell_length_c 9.017
_cell_angle_alpha 74.46
_cell_angle_beta 88.91
_cell_angle_gamma 80.91
loop_
_space_group_symop_operation_xyz
'x,y,z'
loop_
_atom_site_label
_atom_site_type_symbol
_atom_site_fract_x
_atom_site_fract_y
_atom_site_fract_z
_atom_site_occupancy
Li1 Li 0.000 0.000 0.000 1
Li2 Li 0.004 0.008 0.314 1
Li3 Li 0.237 0.510 0.235 1
Li4 Li 0.482 0.009 0.160 1
Li5 Li 0.490 0.013 0.817 1
Li6 Li 0.498 0.007 0.489 1
Li7 Li 0.738 0.492 0.732 1
Li8 Li 0.984 0.011 0.648 1
Nb1 Nb 0.212 0.511 0.908 1
Nb2 Nb 0.267 0.509 0.560 1
Nb3 Nb 0.718 0.508 0.410 1
Nb4 Nb 0.759 0.511 0.060 1
O1 O 0.117 0.274 0.455 1
O2 O 0.123 0.255 0.116 1
O3 O 0.125 0.283 0.780 1
O4 O 0.350 0.741 0.694 1
O5 O 0.364 0.774 0.358 1
O6 O 0.374 0.749 0.016 1
O7 O 0.623 0.241 0.619 1
O8 O 0.623 0.280 0.951 1
O9 O 0.636 0.269 0.288 1
O10 O 0.855 0.745 0.194 1
O11 O 0.869 0.739 0.525 1
```


# 2
For LiNb3O8, DFT lattice parameters and positions (PBE) gives the calculated powder diffraction line list in this record (copper Kα).
Kinematic intensities with the Lorentz-polarization factor, no thermal factor.

Top 10 peaks for 2θ from 10° to 80°, by intensity:
2theta	I_rel	index
30.2	100	0 1 4
53.1	27	2 2 -6
21.6	18	1 1 0
21.4	14	0 1 2
60.8	14	0 3 4
24.4	12	0 0 4
35.9	12	2 1 2
24.3	12	2 0 -2
35.7	11	0 2 0
64.0	11	4 2 0

```
data_LiNb3O8
_chemical_formula_sum 'Li4 Nb12 O32'
_space_group_name_H-M_alt 'P 1 21/c 1'
_space_group_IT_number 14
_cell_length_a 7.482
_cell_length_b 5.031
_cell_length_c 15.302
_cell_angle_alpha 90.00
_cell_angle_beta 107.36
_cell_angle_gamma 90.00
loop_
_space_group_symop_operation_xyz
'x,y,z'
'-x,-y,-z'
'-x,y+1/2,-z+1/2'
'x,-y+1/2,z+1/2'
loop_
_atom_site_label
_atom_site_type_symbol
_atom_site_fract_x
_atom_site_fract_y
_atom_site_fract_z
_atom_site_occupancy
Li1 Li 0.246 0.243 0.082 1
Nb1 Nb 0.021 0.744 0.164 1
Nb2 Nb 0.251 0.748 0.427 1
Nb3 Nb 0.487 0.235 0.331 1
O1 O 0.006 0.069 0.097 1
O2 O 0.089 0.581 0.785 1
O3 O 0.148 0.073 0.454 1
O4 O 0.239 0.590 0.156 1
O5 O 0.274 0.078 0.844 1
O6 O 0.354 0.597 0.541 1
O7 O 0.408 0.068 0.215 1
O8 O 0.466 0.579 0.902 1
```


# 3
For LiNbO2, DFT lattice parameters and positions (PBE) gives the calculated powder diffraction line list in this record (copper Kα).
Kinematic intensities with the Lorentz-polarization factor, no thermal factor.

Top 10 peaks for 2θ from 10° to 80°, by intensity:
2theta	I_rel	index
10.8	100	0 2 0
30.4	59	1 2 1
36.0	25	1 4 1
32.8	20	0 6 0
41.6	18	0 0 2
39.4	15	2 0 0
44.2	13	0 8 0
47.9	12	2 3 1
62.3	10	0 8 2
58.6	10	2 0 2

```
data_LiNbO2
_chemical_formula_sum 'Li8 Nb8 O16'
_space_group_name_H-M_alt 'I b a m'
_space_group_IT_number 72
_space_group_name_Hall '-I 2 2c'
_cell_length_a 4.573
_cell_length_b 16.382
_cell_length_c 4.345
_cell_angle_alpha 90.00
_cell_angle_beta 90.00
_cell_angle_gamma 90.00
loop_
_atom_site_label
_atom_site_type_symbol
_atom_site_fract_x
_atom_site_fract_y
_atom_site_fract_z
_atom_site_occupancy
Li1 Li 0.000 0.243 0.250 1
Nb1 Nb 0.201 0.430 0.000 1
O1 O 0.196 0.065 0.000 1
O2 O 0.231 0.312 0.000 1
```


# 4
For LiNbO2, DFT lattice parameters and positions (PBE) gives the calculated powder diffraction line list in this record (copper Kα).
Kinematic intensities with the Lorentz-polarization factor, no thermal factor.

Top 10 peaks for 2θ from 10° to 80°, by intensity:
2theta	I_rel	index
16.7	100	0 0 2
39.8	82	1 0 2
50.1	49	1 0 4
35.8	33	1 0 0
64.6	18	1 0 6
64.4	16	1 1 0
67.1	14	1 1 2
78.4	11	2 0 2
33.9	10	0 0 4
74.8	7	1 1 4

```
data_LiNbO2
_chemical_formula_sum 'Li2 Nb2 O4'
_space_group_name_H-M_alt 'P 63/m m c'
_space_group_IT_number 194
_space_group_name_Hall '-P 6c 2c'
_cell_length_a 2.8933
_cell_length_b 2.8933
_cell_length_c 10.5870
_cell_angle_alpha 90.00
_cell_angle_beta 90.00
_cell_angle_gamma 120.00
loop_
_atom_site_label
_atom_site_type_symbol
_atom_site_fract_x
_atom_site_fract_y
_atom_site_fract_z
_atom_site_occupancy
Li1 Li 0.3333 0.6667 0.2500 1
Nb1 Nb 0.0000 0.0000 0.0000 1
O1 O 0.3333 0.6667 0.6296 1
```


# 5
For Li6Nb2O7, DFT lattice parameters and positions (PBE) gives the calculated powder diffraction line list in this record (copper Kα).
Kinematic intensities with the Lorentz-polarization factor, no thermal factor.

Top 10 peaks for 2θ from 10° to 80°, by intensity:
2theta	I_rel	index
15.8	100	0 0 1
17.3	47	0 1 0
44.0	28	1 1 -2
42.0	28	2 1 2
43.4	26	1 -2 0
23.7	24	0 1 1
30.8	21	1 1 -1
22.7	21	1 1 0
28.0	17	1 -1 0
29.1	12	1 -1 1

```
data_Li6Nb2O7
_chemical_formula_sum 'Li6 Nb2 O7'
_space_group_name_H-M_alt 'P -1'
_space_group_IT_number 2
_cell_length_a 5.150
_cell_length_b 5.237
_cell_length_c 5.910
_cell_angle_alpha 87.11
_cell_angle_beta 71.75
_cell_angle_gamma 77.73
loop_
_space_group_symop_operation_xyz
'x,y,z'
'-x,-y,-z'
loop_
_atom_site_label
_atom_site_type_symbol
_atom_site_fract_x
_atom_site_fract_y
_atom_site_fract_z
_atom_site_occupancy
Li1 Li 0.198 0.365 0.314 1
Li2 Li 0.239 0.380 0.840 1
Li3 Li 0.250 0.918 0.551 1
Nb1 Nb 0.227 0.872 0.063 1
O1 O 0.014 0.747 0.362 1
O2 O 0.027 0.741 0.852 1
O3 O 0.495 0.010 0.765 1
O4 O 0.500 0.500 0.000 1
```


# 6
For Li4TbNbO6, DFT lattice parameters and positions (PBE) gives the calculated powder diffraction line list in this record (copper Kα).
Kinematic intensities with the Lorentz-polarization factor, no thermal factor.

Top 10 peaks for 2θ from 10° to 80°, by intensity:
2theta	I_rel	index
18.1	100	0 0 1
41.1	52	1 3 1
19.7	44	1 1 0
33.4	40	1 3 0
22.5	34	1 1 -1
41.4	32	2 0 -2
35.1	28	2 0 0
18.8	25	0 2 0
26.2	24	0 2 1
33.5	20	2 0 -1

```
data_Li4TbNbO6
_chemical_formula_sum 'Li8 Tb2 Nb2 O12'
_space_group_name_H-M_alt 'C 1 2 1'
_space_group_IT_number 5
_cell_length_a 5.442
_cell_length_b 9.459
_cell_length_c 5.216
_cell_angle_alpha 90.00
_cell_angle_beta 109.96
_cell_angle_gamma 90.00
loop_
_space_group_symop_operation_xyz
'x,y,z'
'-x,y,-z'
'x+1/2,y+1/2,z'
'-x+1/2,y+1/2,-z'
loop_
_atom_site_label
_atom_site_type_symbol
_atom_site_fract_x
_atom_site_fract_y
_atom_site_fract_z
_atom_site_occupancy
Li1 Li 0.000 0.000 0.000 1
Li2 Li 0.000 0.143 0.500 1
Li3 Li 0.000 0.305 0.000 1
Li4 Li 0.000 0.622 0.000 1
Tb1 Tb 0.000 0.810 0.500 1
Nb1 Nb 0.000 0.476 0.500 1
O1 O 0.226 0.327 0.739 1
O2 O 0.230 0.481 0.268 1
O3 O 0.232 0.631 0.742 1
```


# 7
For LiNbTe3Pd, DFT lattice parameters and positions (PBE) gives the calculated powder diffraction line list in this record (copper Kα).
Kinematic intensities with the Lorentz-polarization factor, no thermal factor.

Top 10 peaks for 2θ from 10° to 80°, by intensity:
2theta	I_rel	index
12.5	100	1 0 -1
33.4	83	2 1 0
48.6	56	0 2 0
45.4	47	2 1 -4
32.7	45	2 1 -1
28.0	42	0 0 3
36.3	37	1 1 -3
27.4	33	2 0 1
26.4	27	1 1 0
38.1	23	2 0 -4

```
data_LiNbTe3Pd
_chemical_formula_sum 'Li2 Nb2 Te6 Pd2'
_space_group_name_H-M_alt 'P 1 21/m 1'
_space_group_IT_number 11
_cell_length_a 8.050
_cell_length_b 3.749
_cell_length_c 9.982
_cell_angle_alpha 90.00
_cell_angle_beta 106.92
_cell_angle_gamma 90.00
loop_
_space_group_symop_operation_xyz
'x,y,z'
'-x,-y,-z'
'-x,y+1/2,-z'
'x,-y+1/2,z'
loop_
_atom_site_label
_atom_site_type_symbol
_atom_site_fract_x
_atom_site_fract_y
_atom_site_fract_z
_atom_site_occupancy
Li1 Li 0.248 0.250 0.199 1
Nb1 Nb 0.206 0.750 0.685 1
Te1 Te 0.081 0.750 0.374 1
Te2 Te 0.216 0.750 0.964 1
Te3 Te 0.436 0.250 0.632 1
Pd1 Pd 0.423 0.250 0.891 1
```


# 8
For Rb2LiNbS4, DFT lattice parameters and positions (PBE) gives the calculated powder diffraction line list in this record (copper Kα).
Kinematic intensities with the Lorentz-polarization factor, no thermal factor.

Top 10 peaks for 2θ from 10° to 80°, by intensity:
2theta	I_rel	index
25.2	100	2 0 0
28.3	81	0 3 3
26.1	77	-1 1 3
16.4	43	0 2 0
27.3	41	0 1 -3
32.7	35	2 3 1
43.3	32	-2 4 2
29.7	22	1 -2 2
45.6	21	0 2 6
29.9	21	1 1 -3

```
data_Rb2LiNbS4
_chemical_formula_sum 'Rb8 Li4 Nb4 S16'
_space_group_name_H-M_alt 'P -1'
_space_group_IT_number 2
_cell_length_a 7.094
_cell_length_b 11.478
_cell_length_c 11.961
_cell_angle_alpha 71.54
_cell_angle_beta 87.75
_cell_angle_gamma 83.81
loop_
_space_group_symop_operation_xyz
'x,y,z'
'-x,-y,-z'
loop_
_atom_site_label
_atom_site_type_symbol
_atom_site_fract_x
_atom_site_fract_y
_atom_site_fract_z
_atom_site_occupancy
Rb1 Rb 0.184 0.098 0.250 1
Rb2 Rb 0.236 0.624 0.723 1
Rb3 Rb 0.251 0.650 0.349 1
Rb4 Rb 0.252 0.155 0.856 1
Li1 Li 0.277 0.478 0.071 1
Li2 Li 0.322 0.989 0.584 1
Nb1 Nb 0.276 0.273 0.486 1
Nb2 Nb 0.282 0.769 0.986 1
S1 S 0.028 0.659 0.995 1
S2 S 0.043 0.143 0.532 1
S3 S 0.232 0.896 0.099 1
S4 S 0.247 0.401 0.598 1
S5 S 0.262 0.380 0.288 1
S6 S 0.330 0.883 0.794 1
S7 S 0.445 0.854 0.467 1
S8 S 0.467 0.375 0.940 1
```